Diffraction record for As3Pb5O12F. The powder XRD pattern is simulated, not measured: it uses a PBE-relaxed structure and Cu Kα.

Most intense lines, 2θ = 5–70°, sorted by position:
Position (°2θ), d/Å, intensity, h k l
19.82, 4.479, 20, 2 0 0
25.53, 3.489, 33, 1 0 2
26.32, 3.386, 36, 1 2 0
28.88, 3.091, 100, 1 2 1
29.22, 3.056, 77, 1 1 2
29.92, 2.986, 46, 3 0 0
42.32, 2.136, 32, 2 2 2
44.77, 2.024, 33, 2 1 3
46.45, 1.955, 22, 1 4 0
47.14, 1.928, 28, 4 0 2

```
data_As3Pb5O12F
_cell_length_a 10.3444
_cell_length_b 10.3444
_cell_length_c 7.5760
_cell_angle_alpha 90.00
_cell_angle_beta 90.00
_cell_angle_gamma 120.00
_symmetry_space_group_name_H-M 'P 63/m'
_symmetry_Int_Tables_number 176
_symmetry_space_group_name_Hall '-P 6c'
loop_
_atom_site_label
_atom_site_type_symbol
_atom_site_fract_x
_atom_site_fract_y
_atom_site_fract_z
As1 As 0.0278 0.6255 0.2500
Pb1 Pb 0.0107 0.2495 0.2500
Pb2 Pb 0.3333 0.6667 0.5046
O1 O 0.0898 0.7442 0.0698
O2 O 0.1235 0.5272 0.2500
O3 O 0.1619 0.4942 0.7500
F1 F 0.0000 0.0000 0.2500
```